For CsAg3Br8, a structure optimized by DFT (GGA-PBE) gives the calculated PXRD pattern in this record (CuKα).

Main lines, in order of rising 2θ (5 to 70 degrees two-theta):
| 2θ (°) | I/Imax |
| --- | --- |
| 17.63 | 34 |
| 24.42 | 43 |
| 25.64 | 47 |
| 27.45 | 100 |
| 29.24 | 36 |
| 31.29 | 27 |
| 32.34 | 67 |
| 35.70 | 33 |
| 44.47 | 25 |
| 45.20 | 68 |
| 47.54 | 65 |
| 54.75 | 29 |

Crystal structure
```
CsAg3Br8
1.0
6.9487 0.0000 0.0000
-3.4744 6.0178 0.0000
0.0000 0.0000 9.1639
Cs Ag Br
1 3 8
direct
0.0000 0.0000 0.0000 Cs
0.0000 0.0000 0.5000 Ag
0.3333 0.6667 0.7361 Ag
0.6667 0.3333 0.2639 Ag
0.0334 0.3265 0.3289 Br
0.2931 0.9666 0.3289 Br
0.3265 0.2931 0.6711 Br
0.3333 0.6667 0.0224 Br
0.6667 0.3333 0.9776 Br
0.6735 0.7069 0.3289 Br
0.7069 0.0334 0.6711 Br
0.9666 0.6735 0.6711 Br
```


For Cs3CuAg2Br9, a structure optimized by DFT (GGA-PBE) gives the calculated PXRD pattern in this record (CuKα).

Main lines, in order of rising 2θ (5 to 70 degrees two-theta):
| 2θ (°) | I/Imax |
| --- | --- |
| 16.36 | 7 |
| 23.22 | 48 |
| 28.54 | 68 |
| 33.07 | 100 |
| 40.80 | 21 |
| 47.47 | 70 |
| 53.49 | 10 |
| 56.33 | 29 |
| 58.99 | 6 |
| 59.11 | 18 |
| 64.31 | 6 |
| 69.40 | 11 |

Crystal structure
```
Cs3CuAg2Br9
1.0
7.6554 0.0000 0.0000
-3.8277 6.6298 0.0000
0.0000 0.0000 9.3954
Cs Cu Ag Br
3 1 2 9
direct
0.0000 0.0000 0.0000 Cs
0.3333 0.6667 0.6671 Cs
0.6667 0.3333 0.3329 Cs
0.0000 0.0000 0.5000 Cu
0.3333 0.6667 0.1731 Ag
0.6667 0.3333 0.8269 Ag
0.0000 0.5000 0.0000 Br
0.1607 0.3213 0.3408 Br
0.1607 0.8393 0.3408 Br
0.3213 0.1607 0.6592 Br
0.5000 0.0000 0.0000 Br
0.5000 0.5000 0.0000 Br
0.6787 0.8393 0.3408 Br
0.8393 0.1607 0.6592 Br
0.8393 0.6787 0.6592 Br
```


For Cs2AgBr2F2, a structure optimized by DFT (GGA-PBE) gives the calculated PXRD pattern in this record (CuKα).

Main lines, in order of rising 2θ (5 to 70 degrees two-theta):
| 2θ (°) | I/Imax |
| --- | --- |
| 10.52 | 25 |
| 21.12 | 15 |
| 25.22 | 100 |
| 32.07 | 58 |
| 33.12 | 36 |
| 35.96 | 53 |
| 48.95 | 34 |
| 50.51 | 12 |
| 51.77 | 18 |
| 57.27 | 12 |
| 58.43 | 19 |
| 62.85 | 11 |

Crystal structure
```
Cs2AgBr2F2
1.0
4.9945 0.0000 0.0000
0.0000 4.9945 0.0000
0.0000 0.0000 16.8242
Cs Ag Br F
4 2 4 4
direct
0.0000 0.0000 0.1146 Cs
0.0000 0.0000 0.8854 Cs
0.5000 0.5000 0.3854 Cs
0.5000 0.5000 0.6146 Cs
0.0000 0.0000 0.5000 Ag
0.5000 0.5000 0.0000 Ag
0.0000 0.0000 0.3464 Br
0.0000 0.0000 0.6536 Br
0.5000 0.5000 0.1536 Br
0.5000 0.5000 0.8464 Br
0.0000 0.5000 0.0000 F
0.0000 0.5000 0.5000 F
0.5000 0.0000 0.0000 F
0.5000 0.0000 0.5000 F
```


For CsFe2AgBr6, a structure optimized by DFT (GGA-PBE) gives the calculated PXRD pattern in this record (CuKα).

Main lines, in order of rising 2θ (5 to 70 degrees two-theta):
| 2θ (°) | I/Imax |
| --- | --- |
| 20.11 | 82 |
| 20.74 | 60 |
| 23.58 | 34 |
| 24.55 | 63 |
| 27.04 | 32 |
| 28.11 | 74 |
| 28.35 | 100 |
| 29.85 | 33 |
| 34.76 | 30 |
| 38.02 | 42 |
| 41.34 | 30 |
| 44.08 | 30 |

Crystal structure
```
CsFe2AgBr6
1.0
7.1553 -6.5705 0.0000
7.1553 6.5705 0.0000
-2.3427 0.0000 7.2587
Cs Fe Ag Br
2 4 2 12
direct
0.1989 0.8011 0.7500 Cs
0.8011 0.1989 0.2500 Cs
0.1257 0.3036 0.7958 Fe
0.3036 0.1257 0.2958 Fe
0.6964 0.8743 0.7042 Fe
0.8743 0.6964 0.2042 Fe
0.3926 0.6074 0.2500 Ag
0.6074 0.3926 0.7500 Ag
0.1027 0.5844 0.2905 Br
0.1156 0.1640 0.0270 Br
0.1640 0.1156 0.5270 Br
0.3192 0.4616 0.8833 Br
0.4156 0.8973 0.2095 Br
0.4616 0.3192 0.3833 Br
0.5384 0.6808 0.6167 Br
0.5844 0.1027 0.7905 Br
0.6808 0.5384 0.1167 Br
0.8360 0.8844 0.4730 Br
0.8844 0.8360 0.9730 Br
0.8973 0.4156 0.7095 Br
```


For Cs4Ag3GeBr12, a structure optimized by DFT (GGA-PBE) gives the calculated PXRD pattern in this record (CuKα).

Main lines, in order of rising 2θ (5 to 70 degrees two-theta):
| 2θ (°) | I/Imax |
| --- | --- |
| 16.04 | 8 |
| 22.76 | 51 |
| 27.97 | 63 |
| 32.40 | 100 |
| 36.35 | 4 |
| 39.97 | 22 |
| 46.48 | 70 |
| 52.36 | 12 |
| 55.12 | 26 |
| 57.80 | 23 |
| 62.93 | 13 |
| 67.84 | 11 |

Crystal structure
```
Cs4Ag3GeBr12
1.0
-5.5258 5.5258 5.5258
5.5258 -5.5258 5.5258
5.5258 5.5258 -5.5258
Cs Ag Ge Br
4 3 1 12
direct
0.0000 0.0000 0.5000 Cs
0.0000 0.5000 0.0000 Cs
0.5000 0.0000 0.0000 Cs
0.5000 0.5000 0.5000 Cs
0.0000 0.5000 0.5000 Ag
0.5000 0.0000 0.5000 Ag
0.5000 0.5000 0.0000 Ag
0.0000 0.0000 0.0000 Ge
0.0000 0.2302 0.2302 Br
0.0000 0.7698 0.7698 Br
0.2302 0.0000 0.2302 Br
0.2302 0.2302 0.0000 Br
0.2500 0.5000 0.7500 Br
0.2500 0.7500 0.5000 Br
0.5000 0.2500 0.7500 Br
0.5000 0.7500 0.2500 Br
0.7500 0.2500 0.5000 Br
0.7500 0.5000 0.2500 Br
0.7698 0.0000 0.7698 Br
0.7698 0.7698 0.0000 Br
```


For Cs3HoAg2Br8, a structure optimized by DFT (GGA-PBE) gives the calculated PXRD pattern in this record (CuKα).

Main lines, in order of rising 2θ (5 to 70 degrees two-theta):
| 2θ (°) | I/Imax |
| --- | --- |
| 8.36 | 30 |
| 15.36 | 17 |
| 21.19 | 38 |
| 22.38 | 100 |
| 27.26 | 30 |
| 28.09 | 17 |
| 28.44 | 19 |
| 31.01 | 89 |
| 36.46 | 41 |
| 39.28 | 23 |
| 43.17 | 52 |
| 45.68 | 50 |

Crystal structure
```
Cs3HoAg2Br8
1.0
7.9448 0.0000 0.0000
-3.9724 6.8804 0.0000
0.0000 0.0000 10.5775
Cs Ho Ag Br
3 1 2 8
direct
0.0000 0.0000 0.0000 Cs
0.3333 0.6667 0.6311 Cs
0.6667 0.3333 0.3689 Cs
0.0000 0.0000 0.5000 Ho
0.3333 0.6667 0.1962 Ag
0.6667 0.3333 0.8038 Ag
0.1627 0.3253 0.3430 Br
0.1627 0.8373 0.3430 Br
0.3253 0.1627 0.6570 Br
0.3333 0.6667 0.9572 Br
0.6667 0.3333 0.0428 Br
0.6747 0.8373 0.3430 Br
0.8373 0.1627 0.6570 Br
0.8373 0.6747 0.6570 Br
```


For CsHo2AgBr8, a structure optimized by DFT (GGA-PBE) gives the calculated PXRD pattern in this record (CuKα).

Main lines, in order of rising 2θ (5 to 70 degrees two-theta):
| 2θ (°) | I/Imax |
| --- | --- |
| 9.83 | 100 |
| 18.91 | 29 |
| 23.61 | 57 |
| 25.62 | 32 |
| 30.42 | 32 |
| 30.95 | 76 |
| 35.99 | 41 |
| 38.86 | 24 |
| 41.50 | 55 |
| 43.50 | 26 |
| 50.08 | 28 |
| 52.63 | 18 |

Crystal structure
```
CsHo2AgBr8
1.0
3.7690 2.1760 9.0018
-3.7690 2.1760 9.0018
0.0000 -4.3520 9.0018
Cs Ho Ag Br
1 2 1 8
direct
0.0000 0.0000 0.0000 Cs
0.1962 0.1962 0.1962 Ho
0.8038 0.8038 0.8038 Ho
0.5000 0.5000 0.5000 Ag
0.1415 0.3902 0.8251 Br
0.1749 0.8585 0.6098 Br
0.2961 0.2961 0.2961 Br
0.3902 0.8251 0.1415 Br
0.6098 0.1749 0.8585 Br
0.7039 0.7039 0.7039 Br
0.8251 0.1415 0.3902 Br
0.8585 0.6098 0.1749 Br
```


For Cs2AgIBr3, a structure optimized by DFT (GGA-PBE) gives the calculated PXRD pattern in this record (CuKα).

Main lines, in order of rising 2θ (5 to 70 degrees two-theta):
| 2θ (°) | I/Imax |
| --- | --- |
| 9.62 | 65 |
| 21.53 | 32 |
| 22.42 | 58 |
| 24.45 | 43 |
| 29.13 | 59 |
| 29.75 | 100 |
| 31.78 | 60 |
| 32.06 | 59 |
| 43.64 | 46 |
| 43.86 | 40 |
| 45.76 | 43 |
| 55.17 | 38 |

Crystal structure
```
Cs2AgIBr3
1.0
5.5841 0.0000 0.0000
0.0000 5.6318 0.0000
0.0000 0.0000 18.3905
Cs Ag I Br
4 2 2 6
direct
0.0000 0.0000 0.1463 Cs
0.0000 0.0000 0.8537 Cs
0.5000 0.5000 0.3537 Cs
0.5000 0.5000 0.6463 Cs
0.0000 0.0000 0.5000 Ag
0.5000 0.5000 0.0000 Ag
0.0000 0.5000 0.5000 I
0.5000 0.0000 0.0000 I
0.0000 0.0000 0.3453 Br
0.0000 0.0000 0.6547 Br
0.0000 0.5000 0.0000 Br
0.5000 0.0000 0.5000 Br
0.5000 0.5000 0.1547 Br
0.5000 0.5000 0.8453 Br
```


For CsLiAgBr3, a structure optimized by DFT (GGA-PBE) gives the calculated PXRD pattern in this record (CuKα).

Main lines, in order of rising 2θ (5 to 70 degrees two-theta):
| 2θ (°) | I/Imax |
| --- | --- |
| 9.01 | 36 |
| 20.06 | 11 |
| 25.83 | 19 |
| 27.08 | 17 |
| 27.27 | 28 |
| 28.12 | 100 |
| 28.74 | 17 |
| 31.21 | 30 |
| 32.07 | 17 |
| 37.61 | 14 |
| 41.46 | 40 |
| 45.66 | 18 |

Crystal structure
```
CsLiAgBr3
1.0
9.3489 0.0000 0.0000
0.0000 4.3563 0.0000
-3.3241 0.0000 9.8124
Cs Li Ag Br
2 2 2 6
direct
0.2195 0.2500 0.2384 Cs
0.7805 0.7500 0.7616 Cs
0.1117 0.2500 0.6178 Li
0.8883 0.7500 0.3822 Li
0.3377 0.7500 0.8875 Ag
0.6623 0.2500 0.1125 Ag
0.1192 0.2500 0.8635 Br
0.1805 0.7500 0.5196 Br
0.4929 0.7500 0.1724 Br
0.5071 0.2500 0.8276 Br
0.8195 0.2500 0.4804 Br
0.8808 0.7500 0.1365 Br
```


For Cs2MgAgBr5, a structure optimized by DFT (GGA-PBE) gives the calculated PXRD pattern in this record (CuKα).

Main lines, in order of rising 2θ (5 to 70 degrees two-theta):
| 2θ (°) | I/Imax |
| --- | --- |
| 20.17 | 25 |
| 24.14 | 30 |
| 25.57 | 27 |
| 26.87 | 46 |
| 27.85 | 100 |
| 29.10 | 57 |
| 31.05 | 24 |
| 32.02 | 32 |
| 35.58 | 30 |
| 41.30 | 34 |
| 43.00 | 25 |
| 43.83 | 25 |

Crystal structure
```
Cs2MgAgBr5
1.0
2.1858 -10.7686 0.0000
2.1858 10.7686 0.0000
0.0000 0.0000 14.4725
Cs Mg Ag Br
4 2 2 10
direct
0.1221 0.8779 0.5000 Cs
0.1292 0.8708 0.1111 Cs
0.8708 0.1292 0.6111 Cs
0.8779 0.1221 0.0000 Cs
0.2116 0.7884 0.8223 Mg
0.7884 0.2116 0.3223 Mg
0.4320 0.5680 0.2371 Ag
0.5680 0.4320 0.7371 Ag
0.0880 0.9120 0.8439 Br
0.2856 0.7144 0.4450 Br
0.2991 0.7009 0.1918 Br
0.3318 0.6682 0.8072 Br
0.4973 0.5027 0.0861 Br
0.5027 0.4973 0.5861 Br
0.6682 0.3318 0.3072 Br
0.7009 0.2991 0.6918 Br
0.7144 0.2856 0.9450 Br
0.9120 0.0880 0.3439 Br
```


For CsMnAgBr4, a structure optimized by DFT (GGA-PBE) gives the calculated PXRD pattern in this record (CuKα).

Main lines, in order of rising 2θ (5 to 70 degrees two-theta):
| 2θ (°) | I/Imax |
| --- | --- |
| 22.66 | 61 |
| 26.43 | 60 |
| 26.89 | 98 |
| 27.48 | 46 |
| 28.83 | 38 |
| 29.48 | 100 |
| 30.26 | 38 |
| 31.10 | 37 |
| 36.38 | 59 |
| 40.90 | 38 |
| 46.27 | 38 |
| 46.56 | 35 |

Crystal structure
```
CsMnAgBr4
1.0
6.6393 0.0000 0.0000
0.0000 7.8485 0.0000
-2.8970 0.0000 9.5381
Cs Mn Ag Br
2 2 2 8
direct
0.2162 0.2500 0.4143 Cs
0.7838 0.7500 0.5857 Cs
0.3068 0.7500 0.1849 Mn
0.6932 0.2500 0.8151 Mn
0.3672 0.2500 0.9877 Ag
0.6328 0.7500 0.0123 Ag
0.0145 0.7500 0.9652 Br
0.2012 0.7500 0.4055 Br
0.4408 0.0026 0.7950 Br
0.4408 0.4974 0.7950 Br
0.5592 0.5026 0.2050 Br
0.5592 0.9974 0.2050 Br
0.7988 0.2500 0.5945 Br
0.9855 0.2500 0.0348 Br
```


For CsNaAg2Br4, a structure optimized by DFT (GGA-PBE) gives the calculated PXRD pattern in this record (CuKα).

Main lines, in order of rising 2θ (5 to 70 degrees two-theta):
| 2θ (°) | I/Imax |
| --- | --- |
| 15.17 | 58 |
| 24.91 | 100 |
| 25.94 | 77 |
| 30.87 | 52 |
| 31.74 | 78 |
| 39.19 | 30 |
| 42.29 | 58 |
| 42.96 | 16 |
| 45.44 | 22 |
| 48.31 | 16 |
| 50.00 | 48 |
| 58.44 | 15 |

Crystal structure
```
CsNaAg2Br4
1.0
7.5358 0.0000 0.0000
0.0000 8.4955 0.0000
0.0000 0.0000 9.2436
Cs Na Ag Br
2 2 4 8
direct
0.0000 0.0000 0.0000 Cs
0.5000 0.5000 0.5000 Cs
0.0000 0.0000 0.5000 Na
0.5000 0.5000 0.0000 Na
0.0000 0.5000 0.1638 Ag
0.0000 0.5000 0.8362 Ag
0.5000 0.0000 0.3362 Ag
0.5000 0.0000 0.6638 Ag
0.2367 0.1821 0.3225 Br
0.2367 0.8179 0.6775 Br
0.2633 0.3179 0.8225 Br
0.2633 0.6821 0.1775 Br
0.7367 0.3179 0.1775 Br
0.7367 0.6821 0.8225 Br
0.7633 0.1821 0.6775 Br
0.7633 0.8179 0.3225 Br
```